For RbPbI3O2, a GGA-PBE-relaxed structure gives the theoretical X-ray diffraction stick pattern in this record (Cu Kα (λ = 1.5418 Å)).

The 8 most intense peaks (2θ = 5–70°), most intense first:
d = 9.011 Å, intensity 100, (1 0 1); d = 3.442 Å, intensity 88, (1 0 6); d = 3.327 Å, intensity 58, (2 1 2); d = 3.151 Å, intensity 42, (2 1 3); d = 4.096 Å, intensity 37, (1 1 2); d = 2.467 Å, intensity 32, (0 2 0); d = 2.333 Å, intensity 28, (1 1 8); d = 2.338 Å, intensity 24, (4 0 3)

Cell and atoms:
Unit cell a=9.8782 b=4.9333 c=21.9866 alpha=90.00 beta=90.00 gamma=90.00
Space group Pnma (No. 62)
Unique sites:
Rb 0.1215 0.2500 0.1968 (multiplicity 4)
Pb 0.0466 0.7500 0.4058 (multiplicity 4)
I 0.0926 0.2500 0.7233 (multiplicity 4)
I 0.1619 0.7500 0.5516 (multiplicity 4)
I 0.2457 0.2500 0.3734 (multiplicity 4)
O 0.0168 0.7500 0.0453 (multiplicity 4)
O 0.0553 0.7500 0.0985 (multiplicity 4)

---

For SrPb2I6O7, a GGA-PBE-relaxed structure gives the theoretical X-ray diffraction stick pattern in this record (Cu Kα (λ = 1.5418 Å)).

The 8 most intense peaks (2θ = 5–70°), most intense first:
d = 4.159 Å, intensity 100, (1 0 3); d = 2.846 Å, intensity 71, (4 0 0); d = 2.576 Å, intensity 61, (2 2 4); d = 4.339 Å, intensity 60, (2 0 2); d = 3.652 Å, intensity 60, (3 0 1); d = 3.074 Å, intensity 46, (3 2 1); d = 2.029 Å, intensity 43, (5 0 3); d = 2.349 Å, intensity 33, (4 1 3)

Cell and atoms:
Unit cell a=11.3859 b=11.3859 c=13.4015 alpha=90.00 beta=90.00 gamma=90.00
Space group I4_1/amd (No. 141, origin choice 2)
Unique sites:
Sr 0.0000 0.2500 0.3750 (multiplicity 4)
Pb 0.0000 0.0000 0.0000 (multiplicity 8)
I 0.0000 0.2500 0.0535 (multiplicity 8)
I 0.2024 0.0476 0.3750 (multiplicity 16)
O 0.0000 0.0336 0.3696 (multiplicity 16)
O 0.0000 0.2500 0.1942 (multiplicity 8)
O 0.0000 0.2500 0.8750 (multiplicity 4)

---

For ZnPbI6O24, a GGA-PBE-relaxed structure gives the theoretical X-ray diffraction stick pattern in this record (Cu Kα (λ = 1.5418 Å)).

The 8 most intense peaks (2θ = 5–70°), most intense first:
d = 3.339 Å, intensity 100, (2 0 -2); d = 10.225 Å, intensity 75, (0 0 1); d = 3.017 Å, intensity 63, (1 2 0); d = 3.539 Å, intensity 46, (1 0 -3); d = 6.685 Å, intensity 44, (1 0 -1); d = 3.115 Å, intensity 40, (1 2 -1); d = 4.900 Å, intensity 36, (1 0 1); d = 3.132 Å, intensity 31, (-1 2 1)

Cell and atoms:
Unit cell a=7.0761 b=7.1215 c=10.8756 alpha=95.44 beta=108.81 gamma=92.75
Space group P-1 (No. 2)
Unique sites:
Zn 0.0000 0.0000 0.0000 (multiplicity 1)
Pb 0.0000 0.0000 0.5000 (multiplicity 1)
I 0.1677 0.4589 0.6990 (multiplicity 2)
I 0.3653 0.9388 0.8295 (multiplicity 2)
I 0.4936 0.2611 0.5031 (multiplicity 2)
O 0.0328 0.7148 0.4331 (multiplicity 2)
O 0.0352 0.4291 0.8189 (multiplicity 2)
O 0.0807 0.2926 0.0970 (multiplicity 2)
O 0.1093 0.9136 0.7050 (multiplicity 2)
O 0.1382 0.7948 0.0979 (multiplicity 2)
O 0.2201 0.5106 0.0267 (multiplicity 2)
O 0.2878 0.0335 0.9698 (multiplicity 2)
O 0.3042 0.4369 0.4780 (multiplicity 2)
O 0.3062 0.0478 0.4816 (multiplicity 2)
O 0.3643 0.2988 0.7430 (multiplicity 2)
O 0.3651 0.6906 0.8635 (multiplicity 2)
O 0.4928 0.7693 0.6608 (multiplicity 2)

---

For PdI2O6, a GGA-PBE-relaxed structure gives the theoretical X-ray diffraction stick pattern in this record (Cu Kα (λ = 1.5418 Å)).

The 8 most intense peaks (2θ = 5–70°), most intense first:
d = 3.295 Å, intensity 100, (1 1 3); d = 3.755 Å, intensity 39, (1 1 2); d = 2.973 Å, intensity 17, (2 0 0); d = 3.055 Å, intensity 16, (0 2 1); d = 1.772 Å, intensity 14, (3 1 3); d = 1.901 Å, intensity 12, (1 3 2); d = 1.588 Å, intensity 12, (1 1 9); d = 1.941 Å, intensity 12, (2 0 6)

Cell and atoms:
Unit cell a=5.9458 b=6.2348 c=15.3745 alpha=90.00 beta=90.00 gamma=90.00
Space group Pbca (No. 61)
Unique sites:
Pd 0.0000 0.0000 0.0000 (multiplicity 4)
I 0.0405 0.0950 0.3493 (multiplicity 8)
O 0.1177 0.6716 0.6033 (multiplicity 8)
O 0.1869 0.0040 0.4485 (multiplicity 8)
O 0.2433 0.7345 0.2859 (multiplicity 8)